Starting from DFT lattice parameters and positions (PBE), the powder diffractogram of Na4LaSi2SnPO12 was simulated for Cu Kα, 1.54184 Å.
No peak broadening, texture or thermal motion is included.

Cell and atoms:
Unit cell a=16.121 b=9.518 c=9.271 alpha=90.00 beta=123.64 gamma=90.00
Space group Cc (No. 9)
One atom of each set of equivalent atoms:
Na  0.000  0.060  0.000 x4
Na  0.069  0.241  0.386 x4
Na  0.137  0.426  0.770 x4
Na  0.309  0.118  0.635 x4
La  0.412  0.254  0.036 x4
Si  0.170  0.088  0.834 x4
Si  0.310  0.444  0.617 x4
Sn  0.216  0.250  0.231 x4
P  0.473  0.111  0.447 x4
O  0.057  0.304  0.109 x4
O  0.075  0.153  0.656 x4
O  0.170  0.088  0.329 x4
O  0.174  0.125  0.017 x4
O  0.224  0.359  0.436 x4
O  0.240  0.443  0.149 x4
O  0.266  0.150  0.845 x4
O  0.371  0.176  0.405 x4
O  0.380  0.332  0.770 x4
O  0.389  0.472  0.094 x4
O  0.483  0.128  0.294 x4
O  0.484  0.047  0.990 x4

The 8 most intense peaks (2θ from 10° to 90°), by angle:
(0 2 0), 18.63 deg, intensity 100; (3 1 -1), 18.97 deg, intensity 67; (2 0 -2), 19.15 deg, intensity 36; (5 1 -1), 30.06 deg, intensity 54; (4 2 -2), 30.25 deg, intensity 49; (3 1 -3), 30.42 deg, intensity 50; (2 0 2), 32.57 deg, intensity 96; (1 5 1), 50.72 deg, intensity 35